# 1
Structure and theoretical XRD peak list of NbCdPd3 (a structure optimized by DFT (GGA-PBE); Cu Kα, 1.54184 Å).
Intensities are scaled so that the largest is 100.

Largest 10 diffraction maxima, low angle first, 2θ from 10° to 90°:
two_theta	Rel. int.
37.49	65
37.70	47
38.14	43
38.37	32
39.40	100
40.02	92
40.47	40
40.80	76
42.58	49
43.09	34

Atomic structure:
abc: 5.1569 5.3412 7.0048
angles: 69.46 73.50 83.05
Space group P-1 (No. 2)
Symmetry-distinct sites (fractional):
Nb (0.1278, 0.3330, 0.3961) (multiplicity 2)
Cd (0.1998, 0.9418, 0.1302) (multiplicity 2)
Pd (0.0000, 0.5000, 0.0000) (multiplicity 1)
Pd (0.3051, 0.8542, 0.6556) (multiplicity 2)
Pd (0.3727, 0.3293, 0.6955) (multiplicity 2)
Pd (0.5000, 0.5000, 0.0000) (multiplicity 1)

---

# 2
Structure and theoretical XRD peak list of Sr2NbCdPt (a structure optimized by DFT (GGA-PBE); Cu Kα, 1.54184 Å).
Intensities are scaled so that the largest is 100.

Largest 10 diffraction maxima, low angle first, 2θ from 10° to 90°:
two_theta	Rel. int.
15.40	69
21.84	37
22.94	38
27.75	32
31.08	100
34.19	39
44.53	37
46.87	63
57.32	38
83.73	24

Atomic structure:
abc: 5.7546 5.7546 5.2451
angles: 90.00 90.00 90.00
Space group P4/mmm (No. 123)
Symmetry-distinct sites (fractional):
Sr (0.0000, 0.5000, 0.0000) (multiplicity 2)
Nb (0.0000, 0.0000, 0.5000) (multiplicity 1)
Cd (0.5000, 0.5000, 0.5000) (multiplicity 1)
Pt (0.5000, 0.5000, 0.0000) (multiplicity 1)

---

# 3
Structure and theoretical XRD peak list of NbCdRh (a structure optimized by DFT (GGA-PBE); Cu Kα, 1.54184 Å).
Intensities are scaled so that the largest is 100.

Largest 10 diffraction maxima, low angle first, 2θ from 10° to 90°:
two_theta	Rel. int.
32.75	6
38.45	100
39.21	53
45.42	4
54.36	6
56.65	17
69.05	12
70.56	32
82.39	7
84.29	6

Atomic structure:
abc: 3.2495 3.2495 10.1263
angles: 90.00 90.00 90.00
Space group P4/nmm (No. 129, origin choice 2)
Symmetry-distinct sites (fractional):
Nb (0.2500, 0.2500, 0.0873) (multiplicity 2)
Cd (0.2500, 0.2500, 0.4004) (multiplicity 2)
Rh (0.2500, 0.2500, 0.7749) (multiplicity 2)

---

# 4
Structure and theoretical XRD peak list of NbTl2CdS4 (a structure optimized by DFT (GGA-PBE); Cu Kα, 1.54184 Å).
Intensities are scaled so that the largest is 100.

Largest 10 diffraction maxima, low angle first, 2θ from 10° to 90°:
two_theta	Rel. int.
23.36	57
27.68	100
28.46	16
33.27	35
43.81	62
51.37	21
53.83	18
57.16	12
66.81	16
72.73	19

Atomic structure:
abc: 7.6166 7.6166 8.0453
angles: 90.00 90.00 90.00
Space group I-4 (No. 82)
Symmetry-distinct sites (fractional):
Nb (0.0000, 0.0000, 0.0000) (multiplicity 2)
Tl (0.0000, 0.0000, 0.5000) (multiplicity 2)
Tl (0.0000, 0.5000, 0.2500) (multiplicity 2)
Cd (0.0000, 0.5000, 0.7500) (multiplicity 2)
S (0.1539, 0.7994, 0.8404) (multiplicity 8)

---

# 5
Structure and theoretical XRD peak list of NbCd2Sb (a structure optimized by DFT (GGA-PBE); Cu Kα, 1.54184 Å).
Intensities are scaled so that the largest is 100.

Largest 10 diffraction maxima, low angle first, 2θ from 10° to 90°:
two_theta	Rel. int.
29.93	89
34.39	28
34.67	100
36.58	38
38.67	34
42.82	52
44.43	13
49.87	37
61.42	33
69.82	44

Atomic structure:
abc: 3.0193 3.0193 35.8208
angles: 90.00 90.00 120.00
Space group R-3m (No. 166, hexagonal axes)
Symmetry-distinct sites (fractional):
Nb (0.0000, 0.0000, 0.0000) (multiplicity 3)
Cd (0.0000, 0.0000, 0.0828) (multiplicity 6)
Sb (0.0000, 0.0000, 0.5000) (multiplicity 3)

---

# 6
Structure and theoretical XRD peak list of NbVCd (a structure optimized by DFT (GGA-PBE); Cu Kα, 1.54184 Å).
Intensities are scaled so that the largest is 100.

Largest 10 diffraction maxima, low angle first, 2θ from 10° to 90°:
two_theta	Rel. int.
25.55	10
33.85	10
38.59	100
38.75	23
40.45	22
54.16	9
57.26	14
70.03	13
72.34	14
82.74	9

Atomic structure:
abc: 3.3868 4.4595 13.9443
angles: 90.00 90.00 90.00
Space group Fmm2 (No. 42)
Symmetry-distinct sites (fractional):
Nb (0.0000, 0.0000, 0.0000) (multiplicity 4)
V (0.0000, 0.0000, 0.3509) (multiplicity 4)
Cd (0.0000, 0.0000, 0.6831) (multiplicity 4)